[1]
This entry pairs a crystal structure of Ac2CdSi2 with its computed X-ray powder pattern. Radiation: copper Kα. Structure: a PBE-relaxed structure.
No peak broadening, texture or thermal motion is included.

Top 12 peaks for 10 to 90 degrees two-theta, low angle first:
d_spacing  intensity
4.466  27
3.955  23
3.883  22
3.187  66
2.961  94
2.929  100
2.594  34
2.482  25
2.233  25
1.828  33
1.801  31
1.658  49

Structure:
```
Ac2CdSi2
1.0
2.000 -7.910 0.000
2.000 7.910 0.000
0.000 0.000 4.466
Ac Cd Si
2 1 2
direct
0.135 0.865 0.000 Ac
0.865 0.135 0.000 Ac
0.500 0.500 0.500 Cd
0.293 0.707 0.500 Si
0.707 0.293 0.500 Si
```

[2]
This entry pairs a crystal structure of Ac4CdSi2 with its computed X-ray powder pattern. Radiation: copper Kα. Structure: a PBE-relaxed structure.
No peak broadening, texture or thermal motion is included.

Top 12 peaks for 10 to 90 degrees two-theta, low angle first:
d_spacing  intensity
3.720  76
3.608  100
3.584  32
3.528  36
3.370  41
3.349  59
3.286  59
3.118  45
2.747  25
2.691  24
2.223  32
1.428  23

Structure:
```
Ac4CdSi2
1.0
7.067 -5.346 0.000
7.067 5.346 0.000
-6.654 0.000 7.168
Ac Cd Si
8 2 4
direct
0.211 0.784 0.934 Ac
0.216 0.789 0.566 Ac
0.279 0.351 0.068 Ac
0.351 0.279 0.568 Ac
0.649 0.721 0.432 Ac
0.721 0.649 0.932 Ac
0.784 0.211 0.434 Ac
0.789 0.216 0.066 Ac
0.090 0.910 0.250 Cd
0.910 0.090 0.750 Cd
0.000 0.500 0.500 Si
0.500 0.000 0.000 Si
0.500 0.500 0.000 Si
0.500 0.500 0.500 Si
```

[3]
This entry pairs a crystal structure of AcSm2Cd4 with its computed X-ray powder pattern. Radiation: copper Kα. Structure: a PBE-relaxed structure.
No peak broadening, texture or thermal motion is included.

Top 12 peaks for 10 to 90 degrees two-theta, low angle first:
d_spacing  intensity
5.080  22
3.753  14
2.733  100
2.683  48
1.969  9
1.897  17
1.588  18
1.559  36
1.366  11
1.241  9
1.204  8
1.200  8

Structure:
```
AcSm2Cd4
1.0
-2.683 2.683 7.877
2.683 -2.683 7.877
2.683 2.683 -7.877
Ac Sm Cd
1 2 4
direct
0.000 0.000 0.000 Ac
0.254 0.254 0.000 Sm
0.746 0.746 0.000 Sm
0.131 0.631 0.500 Cd
0.369 0.869 0.500 Cd
0.631 0.131 0.500 Cd
0.869 0.369 0.500 Cd
```